Entry 1:
# ZnBr2O12
Theoretical XRD peak list, Cu Kα (λ = 1.5418 Å). Input: a PBE-relaxed structure.

Main lines, by angle (2θ = 10–90°):
(1 1 1), 2θ = 16.02°, I 34
(2 0 0), 2θ = 18.52°, I 23
(2 2 0), 2θ = 26.31°, I 100
(3 1 1), 2θ = 30.96°, I 21
(4 2 2), 2θ = 46.44°, I 38
(4 4 0), 2θ = 54.16°, I 19
(6 0 2), 2θ = 61.19°, I 19
(6 2 4), 2θ = 74.06°, I 23

Structural model:
```
data_ZnBr2O12
_chemical_formula_sum 'Zn4 Br8 O48'
_cell_length_a 9.580
_cell_length_b 9.580
_cell_length_c 9.580
_cell_angle_alpha 90.00
_cell_angle_beta 90.00
_cell_angle_gamma 90.00
_space_group_name_H-M_alt 'P a -3'
_space_group_IT_number 205
_space_group_name_Hall '-P 2ac 2ab 3'
loop_
_atom_site_label
_atom_site_type_symbol
_atom_site_fract_x
_atom_site_fract_y
_atom_site_fract_z
Zn1 Zn 0.000 0.000 0.000
Br1 Br 0.241 0.741 0.759
O1 O 0.039 0.698 0.453
O2 O 0.120 0.159 0.682
```

---

Entry 2:
# Sm2Fe15Si2
Theoretical XRD peak list, Cu Kα (λ = 1.5418 Å). Input: a PBE-relaxed structure.

Main lines, by angle (2θ = 10–90°):
(1 1 3), 2θ = 30.24°, I 22
(3 0 0), 2θ = 37.30°, I 16
(0 2 4), 2θ = 37.97°, I 12
(0 0 6), 2θ = 43.31°, I 100
(2 1 4), 2θ = 43.93°, I 12
(2 2 3), 2θ = 48.75°, I 11
(2 2 6), 2θ = 62.92°, I 20
(3 0 9), 2θ = 79.38°, I 8

Structural model:
```
data_Sm2Fe15Si2
_chemical_formula_sum 'Sm6 Fe45 Si6'
_cell_length_a 8.3501
_cell_length_b 8.3501
_cell_length_c 12.5509
_cell_angle_alpha 90.00
_cell_angle_beta 90.00
_cell_angle_gamma 120.00
_space_group_name_H-M_alt 'R -3 m'
_space_group_IT_number 166
_space_group_name_Hall '-R 3 2"'
loop_
_atom_site_label
_atom_site_type_symbol
_atom_site_fract_x
_atom_site_fract_y
_atom_site_fract_z
Sm1 Sm 0.0000 0.0000 0.1554
Fe1 Fe 0.0000 0.2897 0.5000
Fe2 Fe 0.0000 0.5000 0.0000
Fe3 Fe 0.0035 0.5017 0.3412
Si1 Si 0.0000 0.0000 0.3984
```

---

Entry 3:
# SiAu3
Theoretical XRD peak list, Cu Kα (λ = 1.5418 Å). Input: a PBE-relaxed structure.

Main lines, by angle (2θ = 10–90°):
(1 1 1), 2θ = 23.45°, I 17
(2 0 0), 2θ = 27.14°, I 9
(2 2 0), 2θ = 38.76°, I 100
(3 1 1), 2θ = 45.80°, I 9
(4 0 0), 2θ = 55.97°, I 17
(3 3 1), 2θ = 61.51°, I 4
(4 2 2), 2θ = 70.16°, I 36
(4 4 0), 2θ = 83.15°, I 12

Structural model:
```
data_SiAu3
_chemical_formula_sum 'Si4 Au12'
_cell_length_a 6.571
_cell_length_b 6.571
_cell_length_c 6.571
_cell_angle_alpha 90.00
_cell_angle_beta 90.00
_cell_angle_gamma 90.00
_space_group_name_H-M_alt 'F m -3 m'
_space_group_IT_number 225
_space_group_name_Hall '-F 4 2 3'
loop_
_atom_site_label
_atom_site_type_symbol
_atom_site_fract_x
_atom_site_fract_y
_atom_site_fract_z
Si1 Si 0.000 0.000 0.000
Au1 Au 0.000 0.000 0.500
Au2 Au 0.250 0.250 0.250
```

---

Entry 4:
# Tm2Pb2O7
Theoretical XRD peak list, Cu Kα (λ = 1.5418 Å). Input: a PBE-relaxed structure.

Main lines, by angle (2θ = 10–90°):
(2 2 2), 2θ = 28.95°, I 100
(4 0 0), 2θ = 33.55°, I 37
(4 4 0), 2θ = 48.17°, I 48
(6 2 2), 2θ = 57.18°, I 46
(4 4 4), 2θ = 59.98°, I 11
(6 6 2), 2θ = 77.95°, I 19
(8 4 0), 2θ = 80.37°, I 15
(8 4 4), 2θ = 89.96°, I 16

Structural model:
a b c (Å): 10.686 10.686 10.686
angles (deg): 90.00 90.00 90.00
Space group Fd-3m (No. 227, origin choice 2)
Asymmetric unit:
1 Tm 0.000 0.000 0.000 (multiplicity 16)
2 Pb 0.000 0.000 0.500 (multiplicity 16)
3 O 0.103 0.375 0.875 (multiplicity 48)
4 O 0.125 0.125 0.125 (multiplicity 8)

---

Entry 5:
# HfVSi
Theoretical XRD peak list, Cu Kα (λ = 1.5418 Å). Input: a PBE-relaxed structure.

Main lines, by angle (2θ = 10–90°):
(0 0 1), 2θ = 12.33°, I 33
(1 0 1), 2θ = 27.35°, I 69
(1 1 0), 2θ = 34.66°, I 40
(1 0 2), 2θ = 35.01°, I 100
(1 1 1), 2θ = 36.92°, I 75
(0 0 3), 2θ = 37.58°, I 28
(2 0 0), 2θ = 49.83°, I 39
(2 1 2), 2θ = 62.35°, I 38

Structural model:
```
data_HfVSi
_chemical_formula_sum 'Hf2 V2 Si2'
_cell_length_a 3.660
_cell_length_b 3.660
_cell_length_c 7.181
_cell_angle_alpha 90.00
_cell_angle_beta 90.00
_cell_angle_gamma 90.00
_space_group_name_H-M_alt 'P 4/n m m'
_space_group_IT_number 129
loop_
_space_group_symop_operation_xyz
'x,y,z'
'-x,-y,-z'
'-y+1/2,x,z'
'y+1/2,-x,-z'
'-x+1/2,-y+1/2,z'
'x+1/2,y+1/2,-z'
'y,-x+1/2,z'
'-y,x+1/2,-z'
'x+1/2,-y,-z'
'-x+1/2,y,z'
'-y,-x,-z'
'y,x,z'
'-x,y+1/2,-z'
'x,-y+1/2,z'
'y+1/2,x+1/2,-z'
'-y+1/2,-x+1/2,z'
loop_
_atom_site_label
_atom_site_type_symbol
_atom_site_fract_x
_atom_site_fract_y
_atom_site_fract_z
Hf1 Hf 0.250 0.250 0.139
V1 V 0.250 0.750 0.500
Si1 Si 0.250 0.250 0.747
```

---

Entry 6:
# SrS2
Theoretical XRD peak list, Cu Kα (λ = 1.5418 Å). Input: a PBE-relaxed structure.

Main lines, by angle (2θ = 10–90°):
(1 1 0), 2θ = 20.46°, I 24
(2 0 0), 2θ = 29.09°, I 32
(1 1 2), 2θ = 30.93°, I 100
(2 1 1), 2θ = 34.66°, I 20
(2 0 2), 2θ = 37.37°, I 29
(3 1 0), 2θ = 46.79°, I 29
(4 0 2), 2θ = 65.39°, I 17
(3 1 4), 2θ = 68.39°, I 23

Structural model:
```
data_SrS2
_chemical_formula_sum 'Sr4 S8'
_cell_length_a 6.140
_cell_length_b 6.140
_cell_length_c 7.749
_cell_angle_alpha 90.00
_cell_angle_beta 90.00
_cell_angle_gamma 90.00
_space_group_name_H-M_alt 'I 4/m c m'
_space_group_IT_number 140
_space_group_name_Hall '-I 4 2c'
loop_
_atom_site_label
_atom_site_type_symbol
_atom_site_fract_x
_atom_site_fract_y
_atom_site_fract_z
Sr1 Sr 0.000 0.000 0.250
S1 S 0.122 0.378 0.000
```